Record 1
Ac2SmDy6: calculated powder diffraction line list (a wavelength of 1.5418 Å), based on a cell relaxed with PBE.
Peak positions follow from Bragg's law for the DFT cell and can differ from measured ones.

Atomic structure:
a b c (Å): 8.807 13.271 5.580
angles (deg): 90.00 90.00 90.00
Space group Cmmm (No. 65)
Inequivalent atoms, fractional coordinates:
Ac 0.000 0.215 0.000 x4
Sm 0.000 0.000 0.500 x2
Dy 0.183 0.367 0.500 x8
Dy 0.204 0.500 0.000 x4

Largest 10 diffraction maxima, in order of rising 2θ, 10° ≤ 2θ ≤ 90°:
| d [Å] | 2θ (°) | Rel. int. | h k l |
| --- | --- | --- | --- |
| 3.669 | 24.3 | 24 | 2 2 0 |
| 3.226 | 27.7 | 80 | 1 3 1 |
| 3.066 | 29.1 | 100 | 2 2 1 |
| 2.866 | 31.2 | 46 | 3 1 0 |
| 2.852 | 31.4 | 66 | 0 4 1 |
| 2.790 | 32.1 | 64 | 0 0 2 |
| 1.999 | 45.4 | 33 | 3 1 2 |
| 1.856 | 49.1 | 27 | 3 5 1 |
| 1.659 | 55.4 | 22 | 0 8 0 |
| 1.570 | 58.8 | 26 | 5 3 1 |

Record 2
Ac4Sm2Dy: calculated powder diffraction line list (a wavelength of 1.5418 Å), based on a cell relaxed with PBE.
Peak positions follow from Bragg's law for the DFT cell and can differ from measured ones.

Atomic structure:
a b c (Å): 8.958 20.780 12.416
angles (deg): 90.00 90.00 90.00
Space group Fdd2 (No. 43)
Inequivalent atoms, fractional coordinates:
Ac 0.113 0.336 0.000 x16
Ac 0.119 0.082 0.239 x16
Sm 0.085 0.260 0.744 x16
Dy 0.000 0.000 0.990 x8

Largest 10 diffraction maxima, in order of rising 2θ, 10° ≤ 2θ ≤ 90°:
| d [Å] | 2θ (°) | Rel. int. | h k l |
| --- | --- | --- | --- |
| 3.429 | 26.0 | 84 | 2 2 2 |
| 3.392 | 26.3 | 52 | 2 4 0 |
| 3.104 | 28.8 | 55 | 0 0 4 |
| 3.024 | 29.5 | 100 | 0 6 2 |
| 2.289 | 39.4 | 44 | 2 4 4 |
| 1.849 | 49.3 | 15 | 2 2 6 |
| 1.804 | 50.6 | 21 | 2 10 2 |
| 1.800 | 50.7 | 19 | 4 6 2 |
| 1.776 | 51.4 | 21 | 0 6 6 |
| 1.393 | 67.2 | 17 | 2 10 6 |

Record 3
AcTb4Sm2Dy: calculated powder diffraction line list (a wavelength of 1.5418 Å), based on a cell relaxed with PBE.
Peak positions follow from Bragg's law for the DFT cell and can differ from measured ones.

Atomic structure:
a b c (Å): 5.126 5.146 10.235
angles (deg): 90.00 90.00 90.00
Space group Pmmm (No. 47)
Inequivalent atoms, fractional coordinates:
Ac 0.000 0.000 0.000 x1
Tb 0.000 0.500 0.258 x2
Tb 0.500 0.000 0.258 x2
Sm 0.000 0.000 0.500 x1
Sm 0.500 0.500 0.000 x1
Dy 0.500 0.500 0.500 x1

Largest 10 diffraction maxima, in order of rising 2θ, 10° ≤ 2θ ≤ 90°:
| d [Å] | 2θ (°) | Rel. int. | h k l |
| --- | --- | --- | --- |
| 2.962 | 30.2 | 100 | 1 1 2 |
| 2.573 | 34.9 | 17 | 0 2 0 |
| 2.561 | 35.0 | 34 | 2 0 0 |
| 1.815 | 50.3 | 24 | 2 2 0 |
| 1.811 | 50.4 | 12 | 2 0 4 |
| 1.550 | 59.6 | 15 | 1 3 2 |
| 1.545 | 59.9 | 28 | 3 1 2 |
| 1.481 | 62.7 | 12 | 2 2 4 |
| 1.178 | 81.8 | 12 | 3 3 2 |
| 1.175 | 82.0 | 6 | 3 1 6 |

Record 4
AcSmDy2Tm: calculated powder diffraction line list (a wavelength of 1.5418 Å), based on a cell relaxed with PBE.
Peak positions follow from Bragg's law for the DFT cell and can differ from measured ones.

Atomic structure:
a b c (Å): 6.447 17.586 6.447
angles (deg): 90.00 90.00 90.00
Space group Cmcm (No. 63)
Inequivalent atoms, fractional coordinates:
Ac 0.000 0.159 0.250 x4
Sm 0.000 0.347 0.250 x4
Dy 0.248 0.500 0.000 x8
Tm 0.000 0.248 0.750 x4

Largest 10 diffraction maxima, in order of rising 2θ, 10° ≤ 2θ ≤ 90°:
| d [Å] | 2θ (°) | Rel. int. | h k l |
| --- | --- | --- | --- |
| 4.406 | 20.2 | 21 | 0 4 0 |
| 3.599 | 24.7 | 22 | 1 3 1 |
| 3.027 | 29.5 | 100 | 2 2 0 |
| 2.785 | 32.1 | 56 | 1 5 1 |
| 2.600 | 34.5 | 28 | 2 4 0 |
| 2.279 | 39.5 | 42 | 2 0 2 |
| 2.200 | 41.0 | 21 | 0 8 0 |
| 1.764 | 51.8 | 30 | 3 5 1 |
| 1.544 | 59.9 | 23 | 2 10 0 |
| 1.423 | 65.6 | 21 | 4 2 2 |

Record 5
AcSmDy6Y2: calculated powder diffraction line list (a wavelength of 1.5418 Å), based on a cell relaxed with PBE.
Peak positions follow from Bragg's law for the DFT cell and can differ from measured ones.

Atomic structure:
a b c (Å): 9.379 15.193 9.490
angles (deg): 90.00 94.18 90.00
Space group C2/c (No. 15)
Inequivalent atoms, fractional coordinates:
Ac 0.000 0.038 0.250 x4
Sm 0.000 0.412 0.750 x4
Dy 0.062 0.182 0.941 x8
Dy 0.095 0.384 0.113 x8
Dy 0.220 0.230 0.321 x8
Y 0.243 0.446 0.448 x8

Largest 10 diffraction maxima, in order of rising 2θ, 10° ≤ 2θ ≤ 90°:
| d [Å] | 2θ (°) | Rel. int. | h k l |
| --- | --- | --- | --- |
| 3.188 | 28.0 | 74 | 1 3 2 |
| 3.145 | 28.4 | 30 | 2 2 -2 |
| 2.969 | 30.1 | 100 | 3 1 -1 |
| 2.958 | 30.2 | 100 | 2 2 2 |
| 2.914 | 30.7 | 87 | 0 2 3 |
| 2.890 | 30.9 | 66 | 1 5 0 |
| 2.852 | 31.4 | 82 | 2 4 -1 |
| 2.781 | 32.2 | 49 | 1 5 -1 |
| 2.618 | 34.3 | 52 | 1 3 -3 |
| 2.552 | 35.2 | 44 | 2 2 -3 |

Record 6
AcSm2Dy5Y: calculated powder diffraction line list (a wavelength of 1.5418 Å), based on a cell relaxed with PBE.
Peak positions follow from Bragg's law for the DFT cell and can differ from measured ones.

Atomic structure:
a b c (Å): 8.906 8.906 15.419
angles (deg): 90.00 90.00 90.00
Space group I4/mcm (No. 140)
Inequivalent atoms, fractional coordinates:
Ac 0.000 0.000 0.250 x4
Sm 0.115 0.385 0.000 x8
Dy 0.000 0.000 0.000 x4
Dy 0.206 0.294 0.369 x16
Y 0.000 0.500 0.250 x4

Largest 10 diffraction maxima, in order of rising 2θ, 10° ≤ 2θ ≤ 90°:
| d [Å] | 2θ (°) | Rel. int. | h k l |
| --- | --- | --- | --- |
| 3.148 | 28.3 | 92 | 2 2 0 |
| 2.914 | 30.7 | 100 | 2 0 4 |
| 2.816 | 31.8 | 24 | 3 1 0 |
| 2.439 | 36.9 | 33 | 3 2 1 |
| 2.139 | 42.3 | 21 | 4 0 2 |
| 1.928 | 47.2 | 16 | 0 0 8 |
| 1.769 | 51.7 | 24 | 4 2 4 |
| 1.644 | 55.9 | 21 | 2 2 8 |
| 1.591 | 58.0 | 22 | 5 1 4 |
| 1.457 | 63.9 | 16 | 4 4 4 |

What did the second record say?
Ac4Sm2Dy: calculated powder diffraction line list (a wavelength of 1.5418 Å), based on a cell relaxed with PBE.
Peak positions follow from Bragg's law for the DFT cell and can differ from measured ones.

Atomic structure:
a b c (Å): 8.958 20.780 12.416
angles (deg): 90.00 90.00 90.00
Space group Fdd2 (No. 43)
Inequivalent atoms, fractional coordinates:
Ac 0.113 0.336 0.000 x16
Ac 0.119 0.082 0.239 x16
Sm 0.085 0.260 0.744 x16
Dy 0.000 0.000 0.990 x8

Largest 10 diffraction maxima, in order of rising 2θ, 10° ≤ 2θ ≤ 90°:
| d [Å] | 2θ (°) | Rel. int. | h k l |
| --- | --- | --- | --- |
| 3.429 | 26.0 | 84 | 2 2 2 |
| 3.392 | 26.3 | 52 | 2 4 0 |
| 3.104 | 28.8 | 55 | 0 0 4 |
| 3.024 | 29.5 | 100 | 0 6 2 |
| 2.289 | 39.4 | 44 | 2 4 4 |
| 1.849 | 49.3 | 15 | 2 2 6 |
| 1.804 | 50.6 | 21 | 2 10 2 |
| 1.800 | 50.7 | 19 | 4 6 2 |
| 1.776 | 51.4 | 21 | 0 6 6 |
| 1.393 | 67.2 | 17 | 2 10 6 |